The following is a theoretical PXRD pattern of KSnBr2Cl. It was derived from DFT lattice parameters and positions (PBE), using a wavelength of 1.5418 Å.

```
10
Lattice="-4.0471 4.0471 5.6069 4.0471 -4.0471 5.6069 4.0471 4.0471 -5.6069" Properties=species:S:1:pos:R:3 pbc="T T T"
K 4.0471 0.0000 0.0000
K 0.0000 4.0471 0.0000
Sn 0.0000 0.0000 2.8238
Sn 0.0000 0.0000 8.4307
Br 2.6234 -1.4237 2.8098
Br 5.4707 1.4237 2.8098
Br 1.4237 2.6234 2.8098
Br -1.4237 5.4707 2.8098
Cl 0.0000 0.0000 5.5095
Cl 0.0000 0.0000 11.1164
```

Principal peaks in the range 10° ≤ 2θ ≤ 90°, sorted by position:
2θ (°)  I/Imax
15.81  100
22.19  36
25.86  84
31.26  61
31.92  57
34.49  39
35.06  48
38.67  82
45.28  42
48.14  39

The following is a theoretical PXRD pattern of Tm4HgSb. It was derived from DFT lattice parameters and positions (PBE), using a wavelength of 1.5418 Å.

```
12
Lattice="7.0284 0.0000 0.0000 0.0000 7.2941 0.0000 -0.0350 0.0000 7.2954" Properties=species:S:1:pos:R:3 pbc="T T T"
Tm 1.0324 1.1941 2.4571
Tm 1.0149 2.4530 6.1048
Tm 2.4403 4.7327 2.5525
Tm 2.4228 6.2085 6.2002
Tm 4.5706 1.0857 1.0952
Tm 4.5532 2.5614 4.7429
Tm 5.9785 4.8411 1.1906
Tm 5.9610 6.1001 4.8383
Hg 0.0000 0.0000 0.0000
Hg -0.0175 3.6471 3.6477
Sb 3.4967 0.0000 3.6477
Sb 3.5142 3.6471 0.0000
```

Principal peaks in the range 10° ≤ 2θ ≤ 90°, sorted by position:
2θ (°)  I/Imax
21.37  53
27.34  96
27.50  37
27.61  53
28.19  95
30.19  63
30.77  49
35.44  46
41.17  100
41.24  40

The following is a theoretical PXRD pattern of PmSm4Al2. It was derived from DFT lattice parameters and positions (PBE), using a wavelength of 1.5418 Å.

```
14
Lattice="6.1166 0.0000 0.0000 0.0000 10.5614 0.0000 -2.4162 0.0000 6.4846" Properties=species:S:1:pos:R:3 pbc="T T T"
Pm 0.0000 0.0000 0.0000
Pm -1.2081 5.2807 3.2423
Sm -1.2023 1.6763 3.2449
Sm 0.0058 3.6044 0.0026
Sm 1.8449 7.4872 3.2391
Sm 0.6368 8.3548 6.4814
Sm 3.0637 2.2065 0.0032
Sm 1.8556 3.0742 3.2455
Sm 3.6947 6.9570 6.4820
Sm 4.9028 8.8851 3.2397
Al 1.3139 10.5600 4.4073
Al 2.5219 5.2821 1.1650
Al 2.3866 0.0014 2.0773
Al 1.1785 5.2793 5.3196
```

Principal peaks in the range 10° ≤ 2θ ≤ 90°, sorted by position:
2θ (°)  I/Imax
22.90  24
27.51  73
30.46  100
31.21  67
33.74  42
35.18  70
47.12  24
49.25  22
51.90  28
56.84  24

The following is a theoretical PXRD pattern of TeBr2. It was derived from DFT lattice parameters and positions (PBE), using a wavelength of 1.5418 Å.

```
6
Lattice="5.6869 0.0000 0.0000 -1.8977 7.2332 0.0000 -2.1799 -2.5493 6.6879" Properties=species:S:1:pos:R:3 pbc="T T T"
Te 0.0000 0.0000 0.0000
Te -2.3404 4.6608 4.5296
Br -1.1599 -0.4108 3.2455
Br -1.8955 2.8189 6.6727
Br 1.7276 -0.7441 5.9439
Br 2.1087 3.0271 2.9620
```

Principal peaks in the range 10° ≤ 2θ ≤ 90°, sorted by position:
2θ (°)  I/Imax
13.10  100
13.24  36
14.95  37
17.43  70
20.95  52
25.38  81
25.71  48
26.66  31
27.95  50
36.81  40

The following is a theoretical PXRD pattern of Li5Tm2Zn12. It was derived from DFT lattice parameters and positions (PBE), using a wavelength of 1.5418 Å.

```
19
Lattice="4.4804 2.5868 4.3407 -4.4804 2.5868 4.3407 0.0000 -5.1735 4.3407" Properties=species:S:1:pos:R:3 pbc="T T T"
Li -4.4804 0.0000 6.5111
Li -2.2402 1.2934 2.1704
Li 0.0000 0.0000 1.2644
Li 2.2402 1.2934 2.1704
Li 0.0000 0.0000 11.7578
Tm 0.0000 0.0000 4.5236
Tm 0.0000 0.0000 8.4986
Zn -1.3406 -2.8516 4.3407
Zn -3.1399 0.2648 4.3407
Zn -2.2216 -1.2826 6.3333
Zn 1.3406 -2.8516 4.3407
Zn -1.7993 2.5868 4.3407
Zn 0.0000 -2.5653 6.6889
Zn -2.2216 1.2826 6.6889
Zn 2.2216 -1.2826 6.3333
Zn 0.0000 2.5653 6.3333
Zn 3.1399 0.2648 4.3407
Zn 1.7993 2.5868 4.3407
Zn 2.2216 1.2826 6.6889
```

Principal peaks in the range 10° ≤ 2θ ≤ 90°, sorted by position:
2θ (°)  I/Imax
13.28  47
26.75  24
28.63  25
31.26  26
34.68  36
36.01  45
40.26  27
40.60  100
41.61  27
66.17  17

The following is a theoretical PXRD pattern of ZnBiAu3. It was derived from DFT lattice parameters and positions (PBE), using a wavelength of 1.5418 Å.

```
10
Lattice="6.5373 0.0000 0.0000 -3.2687 5.6615 0.0000 0.0000 0.0000 5.6989" Properties=species:S:1:pos:R:3 pbc="T T T"
Zn 0.0000 0.0000 0.0000
Zn 0.0000 0.0000 2.8494
Bi 0.0000 3.7743 1.4247
Bi 3.2687 1.8872 4.2742
Au 0.0000 2.1622 4.2742
Au -1.3962 4.5804 4.2742
Au 1.8725 1.0811 1.4247
Au 1.3962 4.5804 4.2742
Au 4.6648 1.0811 1.4247
Au 3.2687 3.4993 1.4247
```

Principal peaks in the range 10° ≤ 2θ ≤ 90°, sorted by position:
2θ (°)  I/Imax
31.39  29
31.61  15
35.41  100
42.23  9
45.15  25
50.98  10
56.29  17
58.52  24
65.88  14
68.26  15

The following is a theoretical PXRD pattern of Mg5Cd2InIr2. It was derived from DFT lattice parameters and positions (PBE), using a wavelength of 1.5418 Å.

```
20
Lattice="9.8099 0.0000 0.0000 0.0000 9.8099 0.0000 0.0000 0.0000 4.1977" Properties=species:S:1:pos:R:3 pbc="T T T"
Mg 0.0000 4.9050 0.0000
Mg 0.7930 2.0713 0.0000
Mg 2.0713 9.0169 0.0000
Mg 2.8337 4.1119 0.0000
Mg 4.1119 6.9762 0.0000
Mg 4.9050 0.0000 0.0000
Mg 5.6980 2.8337 0.0000
Mg 6.9762 5.6980 0.0000
Mg 7.7387 0.7930 0.0000
Mg 9.0169 7.7387 0.0000
Cd 1.6935 6.5985 2.0989
Cd 3.2114 1.6935 2.0989
Cd 6.5985 8.1164 2.0989
Cd 8.1164 3.2114 2.0989
In 0.0000 0.0000 2.0989
In 4.9050 4.9050 2.0989
Ir 1.1863 3.7186 2.0989
Ir 3.7186 8.6236 2.0989
Ir 6.0913 1.1863 2.0989
Ir 8.6236 6.0913 2.0989
```

Principal peaks in the range 10° ≤ 2θ ≤ 90°, sorted by position:
2θ (°)  I/Imax
12.76  26
21.17  80
28.78  52
32.92  19
36.00  100
39.47  49
42.70  21
43.10  26
52.65  19
57.50  17

The following is a theoretical PXRD pattern of Cs3AcU2O9. It was derived from DFT lattice parameters and positions (PBE), using a wavelength of 1.5418 Å.

```
15
Lattice="6.3985 0.0000 0.0000 -3.1993 5.5413 0.0000 0.0000 0.0000 7.8507" Properties=species:S:1:pos:R:3 pbc="T T T"
Cs 0.0000 0.0000 0.0000
Cs 0.0000 3.6942 5.2114
Cs 3.1993 1.8471 2.6392
Ac 0.0000 0.0000 3.9253
U 0.0000 3.6942 1.2249
U 3.1993 1.8471 6.6257
O -1.5996 2.7706 0.0000
O 0.0000 2.0319 2.4188
O -1.4395 4.5253 2.4188
O 1.7597 1.0160 5.4318
O 3.1993 0.0000 0.0000
O 1.5996 2.7706 0.0000
O 1.4396 4.5253 2.4188
O 4.6388 1.0160 5.4318
O 3.1993 3.5093 5.4318
```

Principal peaks in the range 10° ≤ 2θ ≤ 90°, sorted by position:
2θ (°)  I/Imax
19.61  12
27.87  100
39.82  27
44.76  6
49.31  42
57.59  18
65.16  20
72.33  4
79.11  11
79.21  12